Simulated powder diffraction line list of HfTl2F5 for Cu Kα, from a structure optimized by DFT (PBE).
Intensities are scaled so that the largest is 1000.

Main lines, by angle (2θ from 5° to 70°):
d (Å), two_theta, I/Imax
4.942, 17.9, 539
3.592, 24.8, 955
2.950, 30.3, 1000
2.721, 32.9, 423
2.472, 36.3, 331
2.001, 45.3, 391
1.797, 50.8, 324
1.703, 53.8, 250

Structural model:
Cell lengths 5.6581, 5.6703, 6.8129 Å; angles 107.48, 107.45, 106.10 degrees
Fractional positions:
Hf1 0.0000 0.0000 0.0000
Tl1 0.2341 0.7337 0.4680
Tl2 0.7351 0.2349 0.4706
F1 0.2019 0.7671 0.9701
F2 0.3303 0.3295 0.1625
F3 0.7672 0.2018 0.9674
F4 0.8319 0.8336 0.1628
F5 0.8328 0.8314 0.6643

Simulated powder diffraction line list of HfTl3F6 for Cu Kα, from a structure optimized by DFT (PBE).
Intensities are scaled so that the largest is 1000.

Main lines, by angle (2θ from 5° to 70°):
d (Å), two_theta, I/Imax
3.775, 23.6, 1000
3.285, 27.1, 827
3.077, 29.0, 289
3.015, 29.6, 471
2.153, 42.0, 503
1.933, 47.0, 360
1.727, 53.0, 227
1.353, 69.5, 219

Structural model:
Cell lengths 7.7924, 7.2771, 6.1599 Å; angles 70.33, 61.57, 48.10 degrees
Fractional positions:
Hf1 0.0000 0.0000 0.0000
Tl1 0.2500 0.2500 0.2500
Tl2 0.5000 0.5000 0.5000
Tl3 0.7500 0.7500 0.7500
F1 0.0706 0.6993 0.9294
F2 0.2093 0.7907 0.2093
F3 0.3007 0.9294 0.6993
F4 0.6993 0.0706 0.3007
F5 0.7907 0.2093 0.7907
F6 0.9294 0.3007 0.0706

Question: What is the formula in the second record?
Answer: HfTl3F6